1.
Starting from a cell relaxed with PBE, the XRD peak list of TbPO4F was calculated for Cu Kα (weighted mean of Kα1 and Kα2).
Peak positions follow from Bragg's law for the DFT cell and can differ from measured ones.

Peak list (10 most intense, 2θ from 5° to 70°, in order of rising 2θ)
14.15°, intensity 100, (0 0 1); 19.49°, intensity 65, (1 1 -1); 20.06°, intensity 63, (2 0 0); 25.18°, intensity 84, (0 2 0); 27.73°, intensity 42, (2 0 1); 30.28°, intensity 56, (1 1 -2); 32.34°, intensity 64, (3 1 -1); 37.81°, intensity 40, (3 1 -2); 47.65°, intensity 23, (1 3 -2); 51.20°, intensity 23, (5 1 -1)

```
data_TbPO4F
_chemical_formula_sum 'Tb4 P4 O16 F4'
_cell_length_a 9.214
_cell_length_b 7.075
_cell_length_c 6.517
_cell_angle_alpha 90.00
_cell_angle_beta 106.14
_cell_angle_gamma 90.00
_symmetry_space_group_name_H-M 'C 1 2/m 1'
_symmetry_Int_Tables_number 12
_symmetry_space_group_name_Hall '-C 2y'
loop_
_atom_site_label
_atom_site_type_symbol
_atom_site_fract_x
_atom_site_fract_y
_atom_site_fract_z
Tb1 Tb 0.206 0.000 0.114
P1 P 0.145 0.500 0.271
O1 O 0.028 0.500 0.772
O2 O 0.196 0.327 0.161
O3 O 0.217 0.500 0.512
F1 F 0.016 0.000 0.814
```

=====

2.
Starting from a cell relaxed with PBE, the XRD peak list of TiPO4F was calculated for Cu Kα (weighted mean of Kα1 and Kα2).
Peak positions follow from Bragg's law for the DFT cell and can differ from measured ones.

Peak list (10 most intense, 2θ from 5° to 70°, in order of rising 2θ)
18.27°, intensity 37, (1 1 0); 18.44°, intensity 37, (1 1 -1); 24.15°, intensity 27, (0 2 0); 26.50°, intensity 100, (1 1 1); 27.79°, intensity 30, (0 2 1); 28.11°, intensity 65, (2 0 -2); 39.31°, intensity 19, (1 3 -1); 44.54°, intensity 15, (3 1 -3); 54.57°, intensity 15, (2 2 2); 57.44°, intensity 22, (3 3 -3)

```
data_TiPO4F
_chemical_formula_sum 'Ti4 P4 O16 F4'
_cell_length_a 7.343
_cell_length_b 7.371
_cell_length_c 7.436
_cell_angle_alpha 90.00
_cell_angle_beta 118.46
_cell_angle_gamma 90.00
_symmetry_space_group_name_H-M 'C 1 2/c 1'
_symmetry_Int_Tables_number 15
_symmetry_space_group_name_Hall '-C 2yc'
loop_
_atom_site_label
_atom_site_type_symbol
_atom_site_fract_x
_atom_site_fract_y
_atom_site_fract_z
Ti1 Ti 0.250 0.250 0.000
P1 P 0.000 0.119 0.250
O1 O 0.096 0.241 0.150
O2 O 0.170 0.004 0.912
F1 F 0.000 0.330 0.750
```

=====

3.
Starting from a cell relaxed with PBE, the XRD peak list of Tl5PO4F2 was calculated for Cu Kα (weighted mean of Kα1 and Kα2).
Peak positions follow from Bragg's law for the DFT cell and can differ from measured ones.

Peak list (10 most intense, 2θ from 5° to 70°, in order of rising 2θ)
26.73°, intensity 67, (0 0 2); 28.23°, intensity 82, (2 1 1); 29.54°, intensity 48, (2 2 0); 30.68°, intensity 100, (0 3 1); 38.70°, intensity 34, (2 3 1); 40.26°, intensity 55, (2 2 2); 47.07°, intensity 28, (4 0 0); 49.74°, intensity 25, (0 3 3); 54.61°, intensity 27, (2 5 1); 57.22°, intensity 29, (4 3 1)

```
data_Tl5PO4F2
_chemical_formula_sum 'Tl10 P2 O8 F4'
_cell_length_a 7.725
_cell_length_b 9.721
_cell_length_c 6.669
_cell_angle_alpha 90.00
_cell_angle_beta 90.00
_cell_angle_gamma 90.00
_symmetry_space_group_name_H-M 'A m m 2'
_symmetry_Int_Tables_number 38
_symmetry_space_group_name_Hall 'A 2 -2'
loop_
_atom_site_label
_atom_site_type_symbol
_atom_site_fract_x
_atom_site_fract_y
_atom_site_fract_z
Tl1 Tl 0.000 0.000 0.000
Tl2 Tl 0.267 0.179 0.488
P1 P 0.500 0.000 0.022
O1 O 0.334 0.000 0.157
O2 O 0.500 0.132 0.885
F1 F 0.000 0.209 0.246
```

=====

4.
Starting from a cell relaxed with PBE, the XRD peak list of UP2O6F2 was calculated for Cu Kα (weighted mean of Kα1 and Kα2).
Peak positions follow from Bragg's law for the DFT cell and can differ from measured ones.

Peak list (10 most intense, 2θ from 5° to 70°, in order of rising 2θ)
14.54°, intensity 28, (0 0 1); 17.68°, intensity 38, (1 0 0); 22.96°, intensity 100, (1 0 1); 30.87°, intensity 30, (1 1 0); 34.28°, intensity 15, (1 1 1); 34.44°, intensity 28, (1 0 2); 38.82°, intensity 21, (2 0 1); 43.09°, intensity 14, (1 1 2); 46.92°, intensity 17, (2 0 2); 50.40°, intensity 25, (2 1 1)

```
data_UP2O6F2
_chemical_formula_sum 'U1 P2 O6 F2'
_cell_length_a 5.7934
_cell_length_b 5.7934
_cell_length_c 6.0922
_cell_angle_alpha 90.00
_cell_angle_beta 90.00
_cell_angle_gamma 120.00
_symmetry_space_group_name_H-M 'P -3 m 1'
_symmetry_Int_Tables_number 164
_symmetry_space_group_name_Hall '-P 3 2"'
loop_
_atom_site_label
_atom_site_type_symbol
_atom_site_fract_x
_atom_site_fract_y
_atom_site_fract_z
U1 U 0.0000 0.0000 0.0000
P1 P 0.3333 0.6667 0.7310
O1 O 0.1867 0.3735 0.7971
F1 F 0.3333 0.6667 0.4728
```

=====

5.
Starting from a cell relaxed with PBE, the XRD peak list of ZrPO4F2 was calculated for Cu Kα (weighted mean of Kα1 and Kα2).
Peak positions follow from Bragg's law for the DFT cell and can differ from measured ones.

Peak list (10 most intense, 2θ from 5° to 70°, in order of rising 2θ)
20.50°, intensity 41, (1 1 0); 21.52°, intensity 100, (0 1 1); 23.97°, intensity 36, (1 0 1); 27.08°, intensity 90, (1 1 1); 29.95°, intensity 58, (1 2 0); 39.59°, intensity 29, (2 1 1); 45.32°, intensity 20, (1 3 1); 45.54°, intensity 24, (2 2 1); 47.06°, intensity 25, (1 2 2); 50.82°, intensity 20, (2 1 2)

```
data_ZrPO4F2
_chemical_formula_sum 'Zr2 P2 O8 F4'
_cell_length_a 5.457
_cell_length_b 7.126
_cell_length_c 5.067
_cell_angle_alpha 90.00
_cell_angle_beta 90.00
_cell_angle_gamma 90.00
_symmetry_space_group_name_H-M 'P m n 21'
_symmetry_Int_Tables_number 31
_symmetry_space_group_name_Hall 'P 2ac -2'
loop_
_atom_site_label
_atom_site_type_symbol
_atom_site_fract_x
_atom_site_fract_y
_atom_site_fract_z
Zr1 Zr 0.000 0.147 0.000
P1 P 0.000 0.576 0.618
O1 O 0.000 0.383 0.748
O2 O 0.000 0.569 0.313
O3 O 0.228 0.694 0.697
F1 F 0.239 0.949 0.216
```

=====

6.
Starting from a cell relaxed with PBE, the XRD peak list of Pa3O5F3 was calculated for Cu Kα (weighted mean of Kα1 and Kα2).
Peak positions follow from Bragg's law for the DFT cell and can differ from measured ones.

Peak list (10 most intense, 2θ from 5° to 70°, in order of rising 2θ)
19.14°, intensity 70, (0 0 1); 25.67°, intensity 100, (1 1 0); 32.22°, intensity 78, (1 1 1); 38.84°, intensity 16, (0 0 2); 45.26°, intensity 27, (3 0 0); 47.14°, intensity 40, (1 1 2); 49.57°, intensity 31, (3 0 1); 52.76°, intensity 14, (2 2 0); 56.65°, intensity 20, (2 2 1); 61.14°, intensity 21, (3 0 2)

```
data_Pa3O5F3
_chemical_formula_sum 'Pa3 O5 F3'
_cell_length_a 6.9399
_cell_length_b 6.9399
_cell_length_c 4.6372
_cell_angle_alpha 90.00
_cell_angle_beta 90.00
_cell_angle_gamma 120.00
_symmetry_space_group_name_H-M 'P -6 2 m'
_symmetry_Int_Tables_number 189
_symmetry_space_group_name_Hall 'P -6 -2'
loop_
_atom_site_label
_atom_site_type_symbol
_atom_site_fract_x
_atom_site_fract_y
_atom_site_fract_z
Pa1 Pa 0.0000 0.3521 0.0000
O1 O 0.0000 0.7480 0.0000
O2 O 0.3333 0.6667 0.0000
F1 F 0.0000 0.3617 0.5000
```

=====

7.
Starting from a cell relaxed with PBE, the XRD peak list of PaO6F2 was calculated for Cu Kα (weighted mean of Kα1 and Kα2).
Peak positions follow from Bragg's law for the DFT cell and can differ from measured ones.

Peak list (10 most intense, 2θ from 5° to 70°, in order of rising 2θ)
13.65°, intensity 53, (0 1 0); 13.96°, intensity 100, (0 1 -1); 23.93°, intensity 41, (0 1 1); 24.23°, intensity 21, (1 0 0); 24.47°, intensity 19, (0 1 -2); 25.97°, intensity 14, (1 -1 0); 26.31°, intensity 13, (1 1 -1); 28.11°, intensity 14, (0 0 2); 31.45°, intensity 33, (1 0 -2); 42.67°, intensity 12, (0 0 3)

```
data_PaO6F2
_chemical_formula_sum 'Pa1 O6 F2'
_cell_length_a 3.837
_cell_length_b 7.429
_cell_length_c 7.510
_cell_angle_alpha 117.87
_cell_angle_beta 104.38
_cell_angle_gamma 90.89
_symmetry_space_group_name_H-M 'P -1'
_symmetry_Int_Tables_number 2
_symmetry_space_group_name_Hall '-P 1'
loop_
_atom_site_label
_atom_site_type_symbol
_atom_site_fract_x
_atom_site_fract_y
_atom_site_fract_z
Pa1 Pa 0.000 0.000 0.000
O1 O 0.006 0.250 0.998
O2 O 0.315 0.410 0.641
O3 O 0.319 0.243 0.636
F1 F 0.394 0.897 0.788
```

=====

8.
Starting from a cell relaxed with PBE, the XRD peak list of Pa2O2F7 was calculated for Cu Kα (weighted mean of Kα1 and Kα2).
Peak positions follow from Bragg's law for the DFT cell and can differ from measured ones.

Peak list (10 most intense, 2θ from 5° to 70°, in order of rising 2θ)
16.38°, intensity 82, (0 0 2); 19.69°, intensity 61, (0 2 0); 20.95°, intensity 100, (1 0 1); 25.72°, intensity 39, (0 2 2); 28.91°, intensity 55, (1 2 1); 31.50°, intensity 20, (1 0 3); 37.42°, intensity 19, (1 2 3); 38.82°, intensity 19, (0 2 4); 45.58°, intensity 25, (1 4 1); 50.82°, intensity 18, (1 2 5)

```
data_Pa2O2F7
_chemical_formula_sum 'Pa4 O4 F14'
_cell_length_a 4.609
_cell_length_b 9.016
_cell_length_c 10.820
_cell_angle_alpha 90.00
_cell_angle_beta 90.00
_cell_angle_gamma 90.00
_symmetry_space_group_name_H-M 'I m m m'
_symmetry_Int_Tables_number 71
_symmetry_space_group_name_Hall '-I 2 2'
loop_
_atom_site_label
_atom_site_type_symbol
_atom_site_fract_x
_atom_site_fract_y
_atom_site_fract_z
Pa1 Pa 0.000 0.245 0.000
O1 O 0.000 0.000 0.070
F1 F 0.000 0.246 0.500
F2 F 0.000 0.285 0.187
F3 F 0.000 0.500 0.000
```

=====

9.
Starting from a cell relaxed with PBE, the XRD peak list of Rb3Pa2O5F2 was calculated for Cu Kα (weighted mean of Kα1 and Kα2).
Peak positions follow from Bragg's law for the DFT cell and can differ from measured ones.

Peak list (10 most intense, 2θ from 5° to 70°, in order of rising 2θ)
7.43°, intensity 26, (0 0 2); 14.88°, intensity 17, (0 0 4); 20.43°, intensity 33, (1 0 1); 27.53°, intensity 100, (1 0 5); 28.55°, intensity 57, (1 1 0); 37.79°, intensity 15, (0 0 10); 40.82°, intensity 31, (2 0 0); 48.03°, intensity 20, (1 1 10); 49.94°, intensity 40, (2 1 5); 56.83°, intensity 17, (2 0 10)

```
data_Rb3Pa2O5F2
_chemical_formula_sum 'Rb6 Pa4 O10 F4'
_cell_length_a 4.422
_cell_length_b 4.422
_cell_length_c 23.807
_cell_angle_alpha 90.00
_cell_angle_beta 90.00
_cell_angle_gamma 90.00
_symmetry_space_group_name_H-M 'I 4/m m m'
_symmetry_Int_Tables_number 139
_symmetry_space_group_name_Hall '-I 4 2'
loop_
_atom_site_label
_atom_site_type_symbol
_atom_site_fract_x
_atom_site_fract_y
_atom_site_fract_z
Rb1 Rb 0.000 0.000 0.000
Rb2 Rb 0.000 0.000 0.187
Pa1 Pa 0.000 0.000 0.407
O1 O 0.000 0.000 0.500
O2 O 0.000 0.500 0.099
F1 F 0.000 0.000 0.307
```

=====

10.
Starting from a cell relaxed with PBE, the XRD peak list of PaSO4F2 was calculated for Cu Kα (weighted mean of Kα1 and Kα2).
Peak positions follow from Bragg's law for the DFT cell and can differ from measured ones.

Peak list (10 most intense, 2θ from 5° to 70°, in order of rising 2θ)
19.14°, intensity 47, (1 1 0); 23.19°, intensity 100, (1 0 1); 27.19°, intensity 56, (2 0 0); 36.03°, intensity 55, (1 2 1); 38.84°, intensity 25, (2 2 0); 42.94°, intensity 40, (1 1 2); 43.64°, intensity 21, (1 3 0); 45.72°, intensity 17, (3 0 1); 54.01°, intensity 22, (3 2 1); 59.27°, intensity 27, (3 1 2)

```
data_PaSO4F2
_chemical_formula_sum 'Pa2 S2 O8 F4'
_cell_length_a 6.558
_cell_length_b 6.558
_cell_length_c 4.728
_cell_angle_alpha 90.00
_cell_angle_beta 90.00
_cell_angle_gamma 90.00
_symmetry_space_group_name_H-M 'I -4'
_symmetry_Int_Tables_number 82
_symmetry_space_group_name_Hall 'I -4'
loop_
_atom_site_label
_atom_site_type_symbol
_atom_site_fract_x
_atom_site_fract_y
_atom_site_fract_z
Pa1 Pa 0.000 0.000 0.000
S1 S 0.000 0.500 0.250
O1 O 0.120 0.310 0.153
F1 F 0.000 0.000 0.500
F2 F 0.000 0.500 0.750
```

=====

11.
Starting from a cell relaxed with PBE, the XRD peak list of PaSiO4F was calculated for Cu Kα (weighted mean of Kα1 and Kα2).
Peak positions follow from Bragg's law for the DFT cell and can differ from measured ones.

Peak list (10 most intense, 2θ from 5° to 70°, in order of rising 2θ)
13.92°, intensity 80, (0 0 1); 19.39°, intensity 100, (1 1 -1); 20.26°, intensity 85, (2 0 0); 23.43°, intensity 26, (1 1 1); 25.70°, intensity 72, (0 2 0); 28.01°, intensity 37, (2 0 1); 29.77°, intensity 59, (1 1 -2); 32.29°, intensity 45, (3 1 -1); 32.94°, intensity 32, (2 2 0); 35.27°, intensity 29, (1 1 2)

```
data_PaSiO4F
_chemical_formula_sum 'Pa4 Si4 O16 F4'
_cell_length_a 9.198
_cell_length_b 6.933
_cell_length_c 6.672
_cell_angle_alpha 90.00
_cell_angle_beta 107.60
_cell_angle_gamma 90.00
_symmetry_space_group_name_H-M 'C 1 2/m 1'
_symmetry_Int_Tables_number 12
_symmetry_space_group_name_Hall '-C 2y'
loop_
_atom_site_label
_atom_site_type_symbol
_atom_site_fract_x
_atom_site_fract_y
_atom_site_fract_z
Pa1 Pa 0.226 0.000 0.141
Si1 Si 0.151 0.500 0.280
O1 O 0.033 0.500 0.764
O2 O 0.202 0.316 0.157
O3 O 0.240 0.500 0.530
F1 F 0.020 0.000 0.828
```

=====

12.
Starting from a cell relaxed with PBE, the XRD peak list of Pa2TaO8F was calculated for Cu Kα (weighted mean of Kα1 and Kα2).
Peak positions follow from Bragg's law for the DFT cell and can differ from measured ones.

Peak list (10 most intense, 2θ from 5° to 70°, in order of rising 2θ)
11.77°, intensity 39, (0 0 1); 18.88°, intensity 53, (1 1 0); 25.96°, intensity 86, (0 2 0); 27.66°, intensity 74, (2 0 0); 30.36°, intensity 100, (1 1 -2); 30.53°, intensity 99, (1 1 2); 38.29°, intensity 43, (2 2 0); 48.61°, intensity 32, (1 3 -2); 48.73°, intensity 32, (1 3 2); 50.51°, intensity 31, (3 1 -2)

```
data_Pa2TaO8F
_chemical_formula_sum 'Pa4 Ta2 O16 F2'
_cell_length_a 6.451
_cell_length_b 6.866
_cell_length_c 7.519
_cell_angle_alpha 90.00
_cell_angle_beta 90.45
_cell_angle_gamma 90.00
_symmetry_space_group_name_H-M 'C 1 2/m 1'
_symmetry_Int_Tables_number 12
_symmetry_space_group_name_Hall '-C 2y'
loop_
_atom_site_label
_atom_site_type_symbol
_atom_site_fract_x
_atom_site_fract_y
_atom_site_fract_z
Pa1 Pa 0.002 0.000 0.249
Ta1 Ta 0.000 0.500 0.500
O1 O 0.004 0.296 0.691
O2 O 0.196 0.000 0.502
O3 O 0.202 0.000 0.999
F1 F 0.000 0.500 0.000
```

=====

13.
Starting from a cell relaxed with PBE, the XRD peak list of PaZnO4F was calculated for Cu Kα (weighted mean of Kα1 and Kα2).
Peak positions follow from Bragg's law for the DFT cell and can differ from measured ones.

Peak list (10 most intense, 2θ from 5° to 70°, in order of rising 2θ)
13.14°, intensity 100, (0 0 1); 18.32°, intensity 48, (2 0 0); 19.86°, intensity 55, (1 1 -1); 24.07°, intensity 58, (2 0 1); 26.20°, intensity 62, (0 2 0); 29.88°, intensity 55, (1 1 -2); 31.86°, intensity 57, (3 1 -1); 35.88°, intensity 26, (2 2 1); 44.69°, intensity 25, (1 1 3); 48.90°, intensity 30, (5 1 0)

```
data_PaZnO4F
_chemical_formula_sum 'Pa4 Zn4 O16 F4'
_cell_length_a 9.783
_cell_length_b 6.801
_cell_length_c 6.806
_cell_angle_alpha 90.00
_cell_angle_beta 98.00
_cell_angle_gamma 90.00
_symmetry_space_group_name_H-M 'C 1 2/m 1'
_symmetry_Int_Tables_number 12
_symmetry_space_group_name_Hall '-C 2y'
loop_
_atom_site_label
_atom_site_type_symbol
_atom_site_fract_x
_atom_site_fract_y
_atom_site_fract_z
Pa1 Pa 0.203 0.000 0.077
Zn1 Zn 0.116 0.500 0.313
O1 O 0.088 0.500 0.735
O2 O 0.181 0.303 0.135
O3 O 0.190 0.500 0.593
F1 F 0.023 0.000 0.818
```